[1]
The following is a calculated powder diffraction line list of TbAgGe. It was derived from a structure optimized by DFT (PBE), using Cu Kα.
Peak positions follow from Bragg's law for the DFT cell and can differ from measured ones.

Atomic structure:
Lattice parameters (Å, degrees): 7.3822 7.3822 4.1447 90.00 90.00 120.00
Space group P-62m (No. 189)
One atom of each set of equivalent atoms:
Tb: 0.0000 0.6038 0.0000 x3
Ag: 0.0000 0.0000 0.0000 x1
Ag: 0.3333 0.6667 0.5000 x2
Ge: 0.0000 0.2675 0.5000 x3

Largest 6 diffraction maxima, in order of rising 2θ, 2θ from 5° to 70°:
2θ/deg	I (rel.)
32.48	100
35.46	73
37.21	26
42.42	41
62.52	25
67.77	26

---

[2]
The following is a calculated powder diffraction line list of KMg6C. It was derived from a structure optimized by DFT (PBE), using Cu Kα.
Peak positions follow from Bragg's law for the DFT cell and can differ from measured ones.

Atomic structure:
Lattice parameters (Å, degrees): 3.2586 8.2495 14.3127 90.00 90.00 90.00
Space group Amm2 (No. 38)
One atom of each set of equivalent atoms:
K: 0.0000 0.0000 0.0000 x2
Mg: 0.0000 0.0000 0.4464 x2
Mg: 0.0000 0.1749 0.7875 x4
Mg: 0.5000 0.0000 0.2460 x2
Mg: 0.5000 0.1699 0.6190 x4
C: 0.5000 0.0000 0.7513 x2

Largest 6 diffraction maxima, in order of rising 2θ, 2θ from 5° to 70°:
2θ/deg	I (rel.)
24.90	34
30.14	52
33.15	100
35.08	28
37.34	83
47.25	26

---

[3]
The following is a calculated powder diffraction line list of Sc5Si10Ir4. It was derived from a structure optimized by DFT (PBE), using Cu Kα.
Peak positions follow from Bragg's law for the DFT cell and can differ from measured ones.

Atomic structure:
Lattice parameters (Å, degrees): 12.4056 12.4056 4.1005 90.00 90.00 90.00
Space group P4/mbm (No. 127)
One atom of each set of equivalent atoms:
Sc: 0.0000 0.0000 0.0000 x2
Sc: 0.1140 0.3860 0.5000 x4
Sc: 0.1752 0.6752 0.5000 x4
Si: 0.0036 0.8482 0.5000 x8
Si: 0.0661 0.5661 0.0000 x4
Si: 0.1644 0.2016 0.0000 x8
Ir: 0.0209 0.7540 0.0000 x8

Largest 6 diffraction maxima, in order of rising 2θ, 2θ from 5° to 70°:
2θ/deg	I (rel.)
20.25	100
21.67	52
28.79	45
29.83	76
36.32	86
51.66	38